No. 1
Theoretical powder diffraction line list of Ce3As3S for Cu Kα, 1.54184 Å, from a cell relaxed with GGA-PBE.

Atomic structure:
```
data_Ce3As3S
_space_group_name_H-M_alt 'P 1'
_space_group_IT_number 1
_cell_length_a 7.514
_cell_length_b 7.514
_cell_length_c 7.408
_cell_angle_alpha 90.08
_cell_angle_beta 90.08
_cell_angle_gamma 115.87
loop_
_space_group_symop_operation_xyz
'x,y,z'
loop_
_atom_site_label
_atom_site_type_symbol
_atom_site_fract_x
_atom_site_fract_y
_atom_site_fract_z
_atom_site_occupancy
Ce1 Ce 0.081 0.081 0.273 1
Ce2 Ce 0.149 0.496 0.774 1
Ce3 Ce 0.496 0.149 0.774 1
Ce4 Ce 0.504 0.851 0.226 1
Ce5 Ce 0.851 0.504 0.226 1
Ce6 Ce 0.919 0.919 0.727 1
As1 As 0.168 0.832 0.000 1
As2 As 0.204 0.796 0.500 1
As3 As 0.407 0.407 0.122 1
As4 As 0.593 0.593 0.878 1
As5 As 0.796 0.204 0.500 1
As6 As 0.832 0.168 0.000 1
S1 S 0.257 0.257 0.587 1
S2 S 0.743 0.743 0.413 1
```

Principal peaks in the range 10° ≤ 2θ ≤ 90°, sorted by position:
| 2θ (°) | Rel. int. |
| --- | --- |
| 25.4 | 43.0 |
| 26.7 | 100.0 |
| 34.0 | 74.6 |
| 35.9 | 41.7 |
| 40.0 | 22.7 |
| 42.6 | 24.6 |

No. 2
Theoretical powder diffraction line list of Li2NdBiO for Cu Kα, 1.54184 Å, from a cell relaxed with GGA-PBE.

Atomic structure:
```
data_Li2NdBiO
_space_group_name_H-M_alt 'P 1'
_space_group_IT_number 1
_cell_length_a 6.569
_cell_length_b 6.569
_cell_length_c 6.569
_cell_angle_alpha 121.54
_cell_angle_beta 121.54
_cell_angle_gamma 87.35
loop_
_space_group_symop_operation_xyz
'x,y,z'
loop_
_atom_site_label
_atom_site_type_symbol
_atom_site_fract_x
_atom_site_fract_y
_atom_site_fract_z
_atom_site_occupancy
Li1 Li 0.249 0.749 0.999 1
Li2 Li 0.251 0.249 0.500 1
Li3 Li 0.749 0.751 0.500 1
Li4 Li 0.751 0.251 0.001 1
Nd1 Nd 0.250 0.250 0.000 1
Nd2 Nd 0.750 0.750 0.000 1
Bi1 Bi 0.250 0.750 0.500 1
Bi2 Bi 0.750 0.250 0.500 1
O1 O 0.000 0.000 0.000 1
O2 O 0.500 0.500 0.000 1
```

Principal peaks in the range 10° ≤ 2θ ≤ 90°, sorted by position:
| 2θ (°) | Rel. int. |
| --- | --- |
| 18.7 | 92.1 |
| 27.8 | 88.7 |
| 33.7 | 100.0 |
| 39.7 | 38.5 |
| 44.3 | 42.5 |
| 47.6 | 41.1 |

No. 3
Theoretical powder diffraction line list of Na3La9B8O27 for Cu Kα, 1.54184 Å, from a cell relaxed with GGA-PBE.

Atomic structure:
```
data_Na3La9B8O27
_space_group_name_H-M_alt 'P 1'
_space_group_IT_number 1
_cell_length_a 8.949
_cell_length_b 8.949
_cell_length_c 8.743
_cell_angle_alpha 90.00
_cell_angle_beta 90.00
_cell_angle_gamma 120.00
loop_
_space_group_symop_operation_xyz
'x,y,z'
loop_
_atom_site_label
_atom_site_type_symbol
_atom_site_fract_x
_atom_site_fract_y
_atom_site_fract_z
_atom_site_occupancy
Na1 Na 0.000 0.668 0.000 1
Na2 Na 0.332 0.332 0.000 1
Na3 Na 0.668 0.000 0.000 1
La1 La 0.000 0.349 0.234 1
La2 La 0.000 0.349 0.766 1
La3 La 0.000 0.717 0.500 1
La4 La 0.283 0.283 0.500 1
La5 La 0.349 0.000 0.234 1
La6 La 0.349 0.000 0.766 1
La7 La 0.651 0.651 0.234 1
La8 La 0.651 0.651 0.766 1
La9 La 0.717 0.000 0.500 1
B1 B 0.000 0.000 0.210 1
B2 B 0.000 0.000 0.790 1
B3 B 0.333 0.667 0.000 1
B4 B 0.333 0.667 0.324 1
B5 B 0.333 0.667 0.676 1
B6 B 0.667 0.333 0.000 1
B7 B 0.667 0.333 0.324 1
B8 B 0.667 0.333 0.676 1
O1 O 0.000 0.257 0.500 1
O2 O 0.000 0.845 0.212 1
O3 O 0.000 0.845 0.788 1
O4 O 0.155 0.155 0.212 1
O5 O 0.155 0.155 0.788 1
O6 O 0.179 0.666 0.318 1
O7 O 0.179 0.666 0.682 1
O8 O 0.183 0.505 0.000 1
O9 O 0.257 0.000 0.500 1
O10 O 0.322 0.817 0.000 1
O11 O 0.334 0.513 0.318 1
O12 O 0.334 0.513 0.682 1
O13 O 0.487 0.821 0.318 1
O14 O 0.487 0.821 0.682 1
O15 O 0.495 0.678 0.000 1
O16 O 0.505 0.183 0.000 1
O17 O 0.513 0.334 0.318 1
O18 O 0.513 0.334 0.682 1
O19 O 0.666 0.179 0.318 1
O20 O 0.666 0.179 0.682 1
O21 O 0.678 0.495 0.000 1
O22 O 0.743 0.743 0.500 1
O23 O 0.817 0.322 0.000 1
O24 O 0.821 0.487 0.318 1
O25 O 0.821 0.487 0.682 1
O26 O 0.845 0.000 0.212 1
O27 O 0.845 0.000 0.788 1
```

Principal peaks in the range 10° ≤ 2θ ≤ 90°, sorted by position:
| 2θ (°) | Rel. int. |
| --- | --- |
| 19.8 | 39.0 |
| 22.3 | 25.7 |
| 28.5 | 100.0 |
| 34.7 | 40.4 |
| 45.5 | 43.2 |
| 55.0 | 20.4 |

No. 4
Theoretical powder diffraction line list of Pm3Dy3In for Cu Kα, 1.54184 Å, from a cell relaxed with GGA-PBE.

Atomic structure:
```
data_Pm3Dy3In
_space_group_name_H-M_alt 'P 1'
_space_group_IT_number 1
_cell_length_a 9.482
_cell_length_b 9.482
_cell_length_c 5.616
_cell_angle_alpha 90.00
_cell_angle_beta 90.00
_cell_angle_gamma 120.00
loop_
_space_group_symop_operation_xyz
'x,y,z'
loop_
_atom_site_label
_atom_site_type_symbol
_atom_site_fract_x
_atom_site_fract_y
_atom_site_fract_z
_atom_site_occupancy
Pm1 Pm 0.106 0.630 0.250 1
Pm2 Pm 0.370 0.477 0.250 1
Pm3 Pm 0.477 0.106 0.750 1
Pm4 Pm 0.523 0.894 0.250 1
Pm5 Pm 0.630 0.523 0.750 1
Pm6 Pm 0.894 0.370 0.750 1
Dy1 Dy 0.061 0.822 0.750 1
Dy2 Dy 0.178 0.239 0.750 1
Dy3 Dy 0.239 0.061 0.250 1
Dy4 Dy 0.761 0.939 0.750 1
Dy5 Dy 0.822 0.761 0.250 1
Dy6 Dy 0.939 0.178 0.250 1
In1 In 0.333 0.667 0.750 1
In2 In 0.667 0.333 0.250 1
```

Principal peaks in the range 10° ≤ 2θ ≤ 90°, sorted by position:
| 2θ (°) | Rel. int. |
| --- | --- |
| 28.8 | 24.0 |
| 31.9 | 24.9 |
| 33.0 | 100.0 |
| 51.0 | 18.7 |
| 57.5 | 20.4 |
| 61.4 | 21.3 |

No. 5
Theoretical powder diffraction line list of PmUIn2O8 for Cu Kα, 1.54184 Å, from a cell relaxed with GGA-PBE.

Atomic structure:
```
data_PmUIn2O8
_space_group_name_H-M_alt 'P 1'
_space_group_IT_number 1
_cell_length_a 5.021
_cell_length_b 5.021
_cell_length_c 7.006
_cell_angle_alpha 90.00
_cell_angle_beta 90.00
_cell_angle_gamma 90.05
loop_
_space_group_symop_operation_xyz
'x,y,z'
loop_
_atom_site_label
_atom_site_type_symbol
_atom_site_fract_x
_atom_site_fract_y
_atom_site_fract_z
_atom_site_occupancy
Pm1 Pm 0.000 0.000 0.000 1
U1 U 0.000 0.000 0.500 1
In1 In 0.500 0.500 0.256 1
In2 In 0.500 0.500 0.744 1
O1 O 0.190 0.190 0.277 1
O2 O 0.190 0.190 0.723 1
O3 O 0.300 0.700 0.500 1
O4 O 0.322 0.678 0.000 1
O5 O 0.678 0.322 0.000 1
O6 O 0.700 0.300 0.500 1
O7 O 0.810 0.810 0.277 1
O8 O 0.810 0.810 0.723 1
```

Principal peaks in the range 10° ≤ 2θ ≤ 90°, sorted by position:
| 2θ (°) | Rel. int. |
| --- | --- |
| 25.1 | 100.0 |
| 31.1 | 91.4 |
| 35.8 | 26.6 |
| 48.1 | 71.3 |
| 58.8 | 18.5 |
| 61.4 | 20.6 |

No. 6
Theoretical powder diffraction line list of KMgCd17 for Cu Kα, 1.54184 Å, from a cell relaxed with GGA-PBE.

Atomic structure:
```
data_KMgCd17
_space_group_name_H-M_alt 'P 1'
_space_group_IT_number 1
_cell_length_a 7.828
_cell_length_b 7.828
_cell_length_c 7.828
_cell_angle_alpha 81.27
_cell_angle_beta 81.27
_cell_angle_gamma 81.27
loop_
_space_group_symop_operation_xyz
'x,y,z'
loop_
_atom_site_label
_atom_site_type_symbol
_atom_site_fract_x
_atom_site_fract_y
_atom_site_fract_z
_atom_site_occupancy
K1 K 0.000 0.000 0.000 1
Mg1 Mg 0.364 0.364 0.364 1
Cd1 Cd 0.092 0.092 0.424 1
Cd2 Cd 0.092 0.424 0.092 1
Cd3 Cd 0.137 0.692 0.692 1
Cd4 Cd 0.317 0.317 0.776 1
Cd5 Cd 0.317 0.776 0.317 1
Cd6 Cd 0.372 0.666 0.963 1
Cd7 Cd 0.372 0.963 0.666 1
Cd8 Cd 0.424 0.092 0.092 1
Cd9 Cd 0.562 0.562 0.562 1
Cd10 Cd 0.666 0.372 0.963 1
Cd11 Cd 0.666 0.963 0.372 1
Cd12 Cd 0.692 0.137 0.692 1
Cd13 Cd 0.692 0.692 0.137 1
Cd14 Cd 0.755 0.755 0.755 1
Cd15 Cd 0.776 0.317 0.317 1
Cd16 Cd 0.963 0.372 0.666 1
Cd17 Cd 0.963 0.666 0.372 1
```

Principal peaks in the range 10° ≤ 2θ ≤ 90°, sorted by position:
| 2θ (°) | Rel. int. |
| --- | --- |
| 30.4 | 33.6 |
| 35.1 | 100.0 |
| 35.4 | 45.9 |
| 37.2 | 22.3 |
| 39.1 | 24.9 |
| 39.4 | 45.2 |

No. 7
Theoretical powder diffraction line list of K2Bi4Pd5 for Cu Kα, 1.54184 Å, from a cell relaxed with GGA-PBE.

Atomic structure:
```
data_K2Bi4Pd5
_space_group_name_H-M_alt 'P 1'
_space_group_IT_number 1
_cell_length_a 10.122
_cell_length_b 8.928
_cell_length_c 6.477
_cell_angle_alpha 80.44
_cell_angle_beta 60.44
_cell_angle_gamma 39.12
loop_
_space_group_symop_operation_xyz
'x,y,z'
loop_
_atom_site_label
_atom_site_type_symbol
_atom_site_fract_x
_atom_site_fract_y
_atom_site_fract_z
_atom_site_occupancy
K1 K 0.129 0.129 0.871 1
K2 K 0.871 0.871 0.129 1
Bi1 Bi 0.212 0.537 0.463 1
Bi2 Bi 0.463 0.788 0.212 1
Bi3 Bi 0.537 0.212 0.788 1
Bi4 Bi 0.788 0.463 0.537 1
Pd1 Pd 0.000 0.000 0.500 1
Pd2 Pd 0.250 0.250 0.250 1
Pd3 Pd 0.500 0.500 0.000 1
Pd4 Pd 0.500 0.500 0.500 1
Pd5 Pd 0.750 0.750 0.750 1
```

Principal peaks in the range 10° ≤ 2θ ≤ 90°, sorted by position:
| 2θ (°) | Rel. int. |
| --- | --- |
| 15.6 | 91.0 |
| 17.1 | 97.6 |
| 28.1 | 67.1 |
| 32.0 | 100.0 |
| 36.1 | 95.8 |
| 39.5 | 68.3 |

No. 8
Theoretical powder diffraction line list of Tb3Pr2YBi6 for Cu Kα, 1.54184 Å, from a cell relaxed with GGA-PBE.

Atomic structure:
```
data_Tb3Pr2YBi6
_space_group_name_H-M_alt 'P 1'
_space_group_IT_number 1
_cell_length_a 10.154
_cell_length_b 10.154
_cell_length_c 9.085
_cell_angle_alpha 102.88
_cell_angle_beta 102.88
_cell_angle_gamma 25.86
loop_
_space_group_symop_operation_xyz
'x,y,z'
loop_
_atom_site_label
_atom_site_type_symbol
_atom_site_fract_x
_atom_site_fract_y
_atom_site_fract_z
_atom_site_occupancy
Tb1 Tb 0.000 0.000 0.000 1
Tb2 Tb 0.332 0.332 0.666 1
Tb3 Tb 0.668 0.668 0.334 1
Pr1 Pr 0.334 0.334 0.168 1
Pr2 Pr 0.666 0.666 0.832 1
Y1 Y 0.000 0.000 0.500 1
Bi1 Bi 0.165 0.165 0.088 1
Bi2 Bi 0.166 0.166 0.576 1
Bi3 Bi 0.497 0.497 0.748 1
Bi4 Bi 0.503 0.503 0.252 1
Bi5 Bi 0.834 0.834 0.424 1
Bi6 Bi 0.835 0.835 0.912 1
```

Principal peaks in the range 10° ≤ 2θ ≤ 90°, sorted by position:
| 2θ (°) | Rel. int. |
| --- | --- |
| 27.8 | 100.0 |
| 39.7 | 78.2 |
| 49.1 | 28.4 |
| 57.4 | 13.4 |
| 64.9 | 37.1 |
| 72.0 | 27.5 |

No. 9
Theoretical powder diffraction line list of K2NaCdAu for Cu Kα, 1.54184 Å, from a cell relaxed with GGA-PBE.

Atomic structure:
```
data_K2NaCdAu
_space_group_name_H-M_alt 'P 1'
_space_group_IT_number 1
_cell_length_a 8.339
_cell_length_b 8.339
_cell_length_c 8.339
_cell_angle_alpha 145.32
_cell_angle_beta 141.31
_cell_angle_gamma 52.92
loop_
_space_group_symop_operation_xyz
'x,y,z'
loop_
_atom_site_label
_atom_site_type_symbol
_atom_site_fract_x
_atom_site_fract_y
_atom_site_fract_z
_atom_site_occupancy
K1 K 0.000 0.000 0.000 1
K2 K 0.278 0.278 0.000 1
Na1 Na 0.737 0.737 0.000 1
Cd1 Cd 0.529 0.529 0.000 1
Au1 Au 0.627 0.127 0.500 1
```

Principal peaks in the range 10° ≤ 2θ ≤ 90°, sorted by position:
| 2θ (°) | Rel. int. |
| --- | --- |
| 11.9 | 94.2 |
| 17.1 | 100.0 |
| 24.1 | 37.8 |
| 26.9 | 36.5 |
| 34.1 | 86.9 |
| 43.9 | 36.3 |

No. 10
Theoretical powder diffraction line list of Nd5Cu6 for Cu Kα, 1.54184 Å, from a cell relaxed with GGA-PBE.

Atomic structure:
```
data_Nd5Cu6
_space_group_name_H-M_alt 'P 1'
_space_group_IT_number 1
_cell_length_a 15.021
_cell_length_b 15.021
_cell_length_c 3.838
_cell_angle_alpha 90.00
_cell_angle_beta 90.00
_cell_angle_gamma 163.17
loop_
_space_group_symop_operation_xyz
'x,y,z'
loop_
_atom_site_label
_atom_site_type_symbol
_atom_site_fract_x
_atom_site_fract_y
_atom_site_fract_z
_atom_site_occupancy
Nd1 Nd 0.000 0.000 0.000 1
Nd2 Nd 0.197 0.803 0.500 1
Nd3 Nd 0.384 0.616 0.000 1
Nd4 Nd 0.616 0.384 0.000 1
Nd5 Nd 0.803 0.197 0.500 1
Cu1 Cu 0.085 0.915 0.500 1
Cu2 Cu 0.274 0.726 0.000 1
Cu3 Cu 0.459 0.541 0.500 1
Cu4 Cu 0.541 0.459 0.500 1
Cu5 Cu 0.726 0.274 0.000 1
Cu6 Cu 0.915 0.085 0.500 1
```

Principal peaks in the range 10° ≤ 2θ ≤ 90°, sorted by position:
| 2θ (°) | Rel. int. |
| --- | --- |
| 25.2 | 33.3 |
| 32.3 | 100.0 |
| 33.6 | 60.4 |
| 39.1 | 30.1 |
| 41.1 | 32.3 |
| 54.0 | 30.7 |

No. 11
Theoretical powder diffraction line list of Ce7Sn3Bi for Cu Kα, 1.54184 Å, from a cell relaxed with GGA-PBE.

Atomic structure:
```
data_Ce7Sn3Bi
_space_group_name_H-M_alt 'P 1'
_space_group_IT_number 1
_cell_length_a 8.212
_cell_length_b 8.212
_cell_length_c 8.212
_cell_angle_alpha 136.32
_cell_angle_beta 111.68
_cell_angle_gamma 84.68
loop_
_space_group_symop_operation_xyz
'x,y,z'
loop_
_atom_site_label
_atom_site_type_symbol
_atom_site_fract_x
_atom_site_fract_y
_atom_site_fract_z
_atom_site_occupancy
Ce1 Ce 0.000 0.000 0.000 1
Ce2 Ce 0.113 0.758 0.355 1
Ce3 Ce 0.353 0.500 0.853 1
Ce4 Ce 0.403 0.758 0.645 1
Ce5 Ce 0.597 0.242 0.355 1
Ce6 Ce 0.647 0.500 0.147 1
Ce7 Ce 0.887 0.242 0.645 1
Sn1 Sn 0.261 0.261 0.000 1
Sn2 Sn 0.500 0.000 0.500 1
Sn3 Sn 0.739 0.739 0.000 1
Bi1 Bi 0.000 0.500 0.500 1
```

Principal peaks in the range 10° ≤ 2θ ≤ 90°, sorted by position:
| 2θ (°) | Rel. int. |
| --- | --- |
| 29.2 | 71.6 |
| 29.4 | 68.4 |
| 35.9 | 100.0 |
| 42.0 | 57.8 |
| 56.3 | 27.7 |
| 56.5 | 25.6 |

No. 12
Theoretical powder diffraction line list of Hf4NiPb for Cu Kα, 1.54184 Å, from a cell relaxed with GGA-PBE.

Atomic structure:
```
data_Hf4NiPb
_space_group_name_H-M_alt 'P 1'
_space_group_IT_number 1
_cell_length_a 7.358
_cell_length_b 7.358
_cell_length_c 5.395
_cell_angle_alpha 100.33
_cell_angle_beta 100.33
_cell_angle_gamma 114.57
loop_
_space_group_symop_operation_xyz
'x,y,z'
loop_
_atom_site_label
_atom_site_type_symbol
_atom_site_fract_x
_atom_site_fract_y
_atom_site_fract_z
_atom_site_occupancy
Hf1 Hf 0.083 0.714 0.939 1
Hf2 Hf 0.186 0.368 0.644 1
Hf3 Hf 0.286 0.917 0.561 1
Hf4 Hf 0.368 0.186 0.144 1
Hf5 Hf 0.632 0.814 0.856 1
Hf6 Hf 0.714 0.083 0.439 1
Hf7 Hf 0.814 0.632 0.356 1
Hf8 Hf 0.917 0.286 0.061 1
Ni1 Ni 0.003 0.997 0.250 1
Ni2 Ni 0.997 0.003 0.750 1
Pb1 Pb 0.389 0.611 0.250 1
Pb2 Pb 0.611 0.389 0.750 1
```

Principal peaks in the range 10° ≤ 2θ ≤ 90°, sorted by position:
| 2θ (°) | Rel. int. |
| --- | --- |
| 32.6 | 48.9 |
| 34.0 | 60.9 |
| 35.1 | 80.0 |
| 37.1 | 100.0 |
| 38.3 | 66.0 |
| 39.9 | 42.3 |

Question: Which formula does entry 3 have?
Answer: Na3La9B8O27